Structure and calculated X-ray powder pattern of BeHgAs2 (a crystal structure in Alexandria, relaxed with GGA-PBE; Cu Ka).
Intensities are scaled so that the largest is 100.

Principal peaks in the range 10° ≤ 2θ ≤ 90°, by intensity:
| 2θ/deg | I/Imax |
| --- | --- |
| 29.9 | 100 |
| 35.1 | 44 |
| 40.0 | 35 |
| 51.5 | 32 |
| 31.4 | 29 |
| 51.7 | 28 |
| 10.4 | 25 |
| 20.8 | 22 |
| 66.5 | 21 |
| 81.1 | 17 |

Atomic structure:
```
BeHgAs2
1.0
3.1884 0.0000 0.0000
0.0000 3.1884 0.0000
0.0000 0.0000 8.5411
Be Hg As
1 1 2
direct
0.0000 0.0000 0.0000
0.0000 0.0000 0.5000
0.5000 0.5000 0.1414
0.5000 0.5000 0.8586
```